Simulated powder XRD pattern of CeGe2Pd2 for copper Kα, from a DFT-relaxed cell (GGA-PBE, the Materials Project).
Peak positions follow from Bragg's law for the DFT cell and can differ from measured ones.

Cell and atoms:
```
CeGe2Pd2
1.0
4.309 0.000 0.000
0.000 4.309 0.000
0.000 0.000 10.282
Ce Ge Pd
2 4 4
Cartesian
0.000 0.000 0.000 Ce
2.154 2.154 5.141 Ce
0.000 0.000 3.909 Ge
0.000 0.000 6.373 Ge
2.154 2.154 1.232 Ge
2.154 2.154 9.050 Ge
0.000 2.154 2.571 Pd
0.000 2.154 7.712 Pd
2.154 0.000 2.571 Pd
2.154 0.000 7.712 Pd
```

The 12 most intense peaks (2θ from 10° to 90°), by intensity:
34.2°, rel. 100, (1 1 2); 41.9°, rel. 54, (2 0 0); 33.4°, rel. 44, (1 0 3); 71.7°, rel. 23, (3 1 2); 54.6°, rel. 21, (2 1 3); 49.1°, rel. 18, (1 0 5); 60.8°, rel. 18, (2 2 0); 46.2°, rel. 16, (1 1 4); 66.5°, rel. 15, (2 1 5); 62.1°, rel. 14, (1 1 6); 88.6°, rel. 12, (2 0 8); 55.7°, rel. 8, (2 0 4)